Starting from a structure optimized by DFT (PBE+U), the X-ray powder pattern of Ca3CoO6 was calculated for a wavelength of 1.5418 Å.
Kinematic intensities with the Lorentz-polarization factor, no thermal factor.

Crystal structure
```
40
Lattice="9.197 0.000 0.000 0.000 8.832 0.000 -0.280 0.000 6.365" Properties=species:S:1:pos:R:3 pbc="T T T"
Ca 0.565 1.563 2.510
Ca 0.425 2.853 5.693
Ca 2.090 5.707 4.778
Ca 2.230 7.541 1.595
Ca 3.868 1.558 0.646
Ca 3.728 2.858 3.828
Ca 5.188 5.973 2.536
Ca 5.048 7.274 5.719
Ca 6.686 1.291 4.770
Ca 6.827 3.125 1.587
Ca 8.492 5.979 0.672
Ca 8.352 7.269 3.854
Co 0.000 0.000 0.000
Co -0.140 4.416 3.182
Co 4.458 0.000 3.182
Co 4.598 4.416 0.000
O -0.167 0.639 4.601
O -0.027 3.777 1.419
O 0.845 5.943 2.700
O 0.705 7.305 5.883
O 1.560 0.888 0.424
O 1.420 3.528 3.607
O 2.871 0.891 2.751
O 2.731 3.525 5.934
O 3.632 5.930 0.495
O 3.492 7.318 3.677
O 4.371 0.636 4.941
O 4.511 3.780 1.758
O 4.405 5.052 4.606
O 4.545 8.196 1.424
O 5.425 1.514 2.688
O 5.285 2.902 5.870
O 6.186 5.307 0.431
O 6.045 7.941 3.613
O 7.496 5.304 2.758
O 7.356 7.944 5.940
O 8.212 1.527 0.482
O 8.072 2.889 3.665
O 8.943 5.055 4.946
O 9.084 8.193 1.763
```

Top 10 peaks for 2θ = 10–90°, sorted by position:
2θ 19.4, intensity 100.0
2θ 28.0, intensity 12.2
2θ 30.9, intensity 13.9
2θ 31.0, intensity 26.7
2θ 35.0, intensity 17.8
2θ 35.2, intensity 34.5
2θ 44.6, intensity 14.0
2θ 47.4, intensity 20.0
2θ 47.6, intensity 38.7
2θ 52.4, intensity 12.0

Starting from a structure optimized by DFT (PBE+U), the X-ray powder pattern of KFeF4 was calculated for a wavelength of 1.5418 Å.
Kinematic intensities with the Lorentz-polarization factor, no thermal factor.

Crystal structure
```
12
Lattice="1.999 -6.189 0.000 1.999 6.189 0.000 0.000 0.000 7.756" Properties=species:S:1:pos:R:3 pbc="T T T"
K 1.999 3.354 5.817
K 1.999 -3.354 1.939
Fe 1.999 0.000 0.000
Fe 1.999 0.000 3.878
F 0.000 0.000 0.000
F 0.000 0.000 3.878
F 1.999 1.860 0.407
F 1.999 1.860 3.470
F 1.999 0.499 5.817
F 1.999 -0.499 1.939
F 1.999 -1.860 4.285
F 1.999 -1.860 7.348
```

Top 10 peaks for 2θ = 10–90°, sorted by position:
2θ 14.3, intensity 53.3
2θ 23.4, intensity 100.0
2θ 26.1, intensity 31.8
2θ 27.1, intensity 96.0
2θ 28.9, intensity 42.2
2θ 33.0, intensity 25.8
2θ 42.3, intensity 32.3
2θ 45.4, intensity 40.0
2θ 46.9, intensity 25.2
2θ 50.1, intensity 31.5

Starting from a structure optimized by DFT (PBE+U), the X-ray powder pattern of TiZnCrP3O12 was calculated for a wavelength of 1.5418 Å.
Kinematic intensities with the Lorentz-polarization factor, no thermal factor.

Crystal structure
```
36
Lattice="4.296 2.480 6.957 -4.296 2.480 6.957 0.000 -4.961 6.957" Properties=species:S:1:pos:R:3 pbc="T T T"
Ti 0.000 0.000 0.000
Ti 0.000 0.000 10.435
Zn 0.000 0.000 3.045
Zn 0.000 0.000 13.480
Cr 0.000 0.000 5.979
Cr 0.000 0.000 16.414
P -1.264 -2.183 8.212
P -3.038 -0.294 11.690
P -1.258 2.186 8.212
P 1.774 -2.484 11.690
P 2.523 -0.003 8.212
P 1.264 2.778 11.690
O -3.439 -1.025 10.429
O -1.492 0.121 4.628
O -0.603 -3.594 8.379
O -0.832 -1.470 6.950
O -3.499 -1.064 12.963
O 0.641 -1.353 4.628
O -2.811 2.319 8.379
O -0.828 -1.399 9.485
O -0.857 1.456 6.950
O -1.485 -0.162 11.857
O 0.851 1.232 4.628
O -0.797 1.417 9.485
O 1.689 0.015 6.950
O -0.641 -1.353 15.063
O 0.883 -1.206 11.857
O 2.607 -2.466 10.429
O 1.626 -0.018 9.485
O -0.851 1.232 15.063
O 0.603 1.367 11.857
O 2.671 -2.498 12.963
O 0.832 3.491 10.429
O 3.414 1.275 8.379
O 1.492 0.121 15.063
O 0.828 3.562 12.963
```

Top 10 peaks for 2θ = 10–90°, sorted by position:
2θ 20.7, intensity 87.2
2θ 24.3, intensity 100.0
2θ 25.4, intensity 23.0
2θ 33.1, intensity 74.1
2θ 36.2, intensity 37.7
2θ 47.5, intensity 34.1
2θ 49.9, intensity 27.7
2θ 56.7, intensity 23.9
2θ 56.9, intensity 16.9
2θ 63.2, intensity 20.9

Starting from a structure optimized by DFT (PBE+U), the X-ray powder pattern of Mn6O5F7 was calculated for a wavelength of 1.5418 Å.
Kinematic intensities with the Lorentz-polarization factor, no thermal factor.

Crystal structure
```
18
Lattice="5.631 0.000 0.000 1.732 5.469 0.000 1.983 1.481 6.874" Properties=species:S:1:pos:R:3 pbc="T T T"
Mn 0.000 0.000 0.000
Mn 1.058 0.902 3.401
Mn 2.837 1.758 0.959
Mn 4.141 2.855 4.564
Mn 5.674 4.094 2.210
Mn 6.740 4.902 5.674
O 1.174 0.819 1.421
O 5.233 3.646 5.890
O 5.766 5.683 1.101
O 5.598 2.528 3.368
O 8.239 6.152 5.396
F 2.433 3.286 5.615
F 1.796 3.531 1.094
F 2.916 2.017 3.216
F 3.970 4.707 3.394
F 5.431 6.519 5.794
F 4.565 3.155 0.876
F 6.754 5.003 3.613
```

Top 10 peaks for 2θ = 10–90°, sorted by position:
2θ 26.5, intensity 100.0
2θ 27.1, intensity 95.0
2θ 33.7, intensity 29.4
2θ 33.8, intensity 31.9
2θ 34.0, intensity 26.6
2θ 34.1, intensity 26.6
2θ 38.6, intensity 19.1
2θ 39.3, intensity 20.5
2θ 52.2, intensity 29.9
2θ 57.6, intensity 20.4